[1]
Li2Nd3AlPd9: simulated powder XRD pattern (Cu Kα, 1.54184 Å), based on a DFT-relaxed cell (PBE, Alexandria).
Lines closer than 0.1° are merged.

Structure:
Lattice parameters (Å, degrees): 6.698 6.698 7.185 90.00 90.00 120.00
Positions (direct):
Li  0.333  0.667  0.143
Li  0.667  0.333  0.857
Nd  0.000  0.000  0.000
Nd  0.333  0.667  0.673
Nd  0.667  0.333  0.327
Al  0.000  0.000  0.500
Pd  0.000  0.500  0.000
Pd  0.178  0.356  0.335
Pd  0.178  0.822  0.335
Pd  0.356  0.178  0.665
Pd  0.500  0.000  0.000
Pd  0.500  0.500  0.000
Pd  0.644  0.822  0.335
Pd  0.822  0.178  0.665
Pd  0.822  0.644  0.665

Most intense lines, 2θ = 15–90°, in order of falling intensity:
- d 2.689, 2θ 33.3, I 100
- d 2.257, 2θ 40.0, I 67
- d 1.674, 2θ 54.8, I 26
- d 2.395, 2θ 37.6, I 24
- d 1.372, 2θ 68.4, I 23
- d 1.527, 2θ 60.6, I 19
- d 1.421, 2θ 65.7, I 13
- d 1.345, 2θ 70.0, I 12

---

[2]
Li3Nd3AlS8: simulated powder XRD pattern (Cu Kα, 1.54184 Å), based on a DFT-relaxed cell (PBE, Alexandria).
Lines closer than 0.1° are merged.

Structure:
Lattice parameters (Å, degrees): 7.577 7.577 7.577 63.78 63.78 63.78
Positions (direct):
Li  0.000  0.500  0.500
Li  0.500  0.000  0.500
Li  0.500  0.500  0.000
Nd  0.000  0.000  0.500
Nd  0.000  0.500  0.000
Nd  0.500  0.000  0.000
Al  0.500  0.500  0.500
S  0.254  0.254  0.254
S  0.274  0.274  0.714
S  0.274  0.714  0.274
S  0.286  0.726  0.726
S  0.714  0.274  0.274
S  0.726  0.286  0.726
S  0.726  0.726  0.286
S  0.746  0.746  0.746

Most intense lines, 2θ = 15–90°, in order of falling intensity:
- d 2.747, 2θ 32.6, I 100
- d 3.404, 2θ 26.2, I 65
- d 2.001, 2θ 45.3, I 41
- d 1.888, 2θ 48.2, I 31
- d 2.498, 2θ 36.0, I 27
- d 1.899, 2θ 47.9, I 26
- d 2.066, 2θ 43.8, I 18
- d 1.618, 2θ 56.9, I 17